LaHgPd2: computed X-ray diffraction stick pattern (Cu Kα, 1.54184 Å), based on a crystal structure in Alexandria, relaxed with PBE.
Neutral-atom scattering factors, no anomalous dispersion.

Crystal structure
```
data_LaHgPd2
_symmetry_space_group_name_H-M 'P m m a'
_symmetry_Int_Tables_number 51
_cell_length_a 5.580
_cell_length_b 4.378
_cell_length_c 7.301
_cell_angle_alpha 90.00
_cell_angle_beta 90.00
_cell_angle_gamma 90.00
loop_
_symmetry_equiv_pos_as_xyz
'x,y,z'
'-x,-y,-z'
'-x+1/2,-y,z'
'x+1/2,y,-z'
'x+1/2,-y,-z'
'-x+1/2,y,z'
'-x,y,-z'
'x,-y,z'
loop_
_atom_site_label
_atom_site_type_symbol
_atom_site_fract_x
_atom_site_fract_y
_atom_site_fract_z
La1 La 0.250 0.000 0.235
Hg1 Hg 0.250 0.500 0.882
Pd1 Pd 0.000 0.500 0.500
Pd2 Pd 0.250 0.000 0.642
```

Peak list (8 most intense, 2θ from 10° to 80°, in order of rising 2θ)
(hkl)	d (Å)	2θ (°)	I (rel.)
1 1 1	3.115	28.7	57
0 1 2	2.804	31.9	49
2 0 0	2.790	32.1	35
1 1 2	2.505	35.8	100
2 1 1	2.239	40.3	64
1 0 3	2.231	40.4	37
0 2 0	2.189	41.2	47
1 2 3	1.562	59.1	25

La6HgPd2: computed X-ray diffraction stick pattern (Cu Kα, 1.54184 Å), based on a crystal structure in Alexandria, relaxed with PBE.
Neutral-atom scattering factors, no anomalous dispersion.

Crystal structure
```
data_La6HgPd2
_symmetry_space_group_name_H-M 'P 1 21/c 1'
_symmetry_Int_Tables_number 14
_cell_length_a 6.981
_cell_length_b 7.772
_cell_length_c 12.579
_cell_angle_alpha 90.00
_cell_angle_beta 122.90
_cell_angle_gamma 90.00
loop_
_symmetry_equiv_pos_as_xyz
'x,y,z'
'-x,-y,-z'
'-x,y+1/2,-z+1/2'
'x,-y+1/2,z+1/2'
loop_
_atom_site_label
_atom_site_type_symbol
_atom_site_fract_x
_atom_site_fract_y
_atom_site_fract_z
La1 La 0.051 0.080 0.235
La2 La 0.218 0.693 0.086
La3 La 0.364 0.144 0.057
Hg1 Hg 0.500 0.000 0.500
Pd1 Pd 0.305 0.115 0.738
```

Peak list (8 most intense, 2θ from 10° to 80°, in order of rising 2θ)
(hkl)	d (Å)	2θ (°)	I (rel.)
1 2 -2	3.226	27.7	59
1 0 2	3.161	28.2	88
2 1 -3	3.038	29.4	100
1 1 -4	2.900	30.8	53
1 2 1	2.865	31.2	55
1 2 -3	2.847	31.4	42
1 3 -1	2.429	37.0	34
3 1 -1	2.063	43.9	34

LaHg6Pd6: computed X-ray diffraction stick pattern (Cu Kα, 1.54184 Å), based on a crystal structure in Alexandria, relaxed with PBE.
Neutral-atom scattering factors, no anomalous dispersion.

Crystal structure
```
data_LaHg6Pd6
_symmetry_space_group_name_H-M 'I m m m'
_symmetry_Int_Tables_number 71
_symmetry_space_group_name_Hall '-I 2 2'
_cell_length_a 5.654
_cell_length_b 9.386
_cell_length_c 9.827
_cell_angle_alpha 90.00
_cell_angle_beta 90.00
_cell_angle_gamma 90.00
loop_
_atom_site_label
_atom_site_type_symbol
_atom_site_fract_x
_atom_site_fract_y
_atom_site_fract_z
La1 La 0.000 0.000 0.000
Hg1 Hg 0.000 0.000 0.344
Hg2 Hg 0.000 0.338 0.000
Hg3 Hg 0.000 0.500 0.317
Pd1 Pd 0.000 0.264 0.500
Pd2 Pd 0.250 0.250 0.250
```

Peak list (8 most intense, 2θ from 10° to 80°, in order of rising 2θ)
(hkl)	d (Å)	2θ (°)	I (rel.)
2 0 0	2.832	31.6	100
0 0 4	2.453	36.6	35
2 2 0	2.425	37.1	98
1 3 2	2.391	37.6	34
0 4 0	2.347	38.4	29
2 2 2	2.173	41.5	91
0 4 2	2.117	42.7	37
2 6 0	1.369	68.5	42

La3HgPd12: computed X-ray diffraction stick pattern (Cu Kα, 1.54184 Å), based on a crystal structure in Alexandria, relaxed with PBE.
Neutral-atom scattering factors, no anomalous dispersion.

Crystal structure
```
data_La3HgPd12
_symmetry_space_group_name_H-M 'P 4/m m m'
_symmetry_Int_Tables_number 123
_symmetry_space_group_name_Hall '-P 4 2'
_cell_length_a 4.204
_cell_length_b 4.204
_cell_length_c 16.662
_cell_angle_alpha 90.00
_cell_angle_beta 90.00
_cell_angle_gamma 90.00
loop_
_atom_site_label
_atom_site_type_symbol
_atom_site_fract_x
_atom_site_fract_y
_atom_site_fract_z
La1 La 0.000 0.000 0.000
La2 La 0.000 0.000 0.258
Hg1 Hg 0.000 0.000 0.500
Pd1 Pd 0.000 0.500 0.127
Pd2 Pd 0.000 0.500 0.382
Pd3 Pd 0.500 0.500 0.000
Pd4 Pd 0.500 0.500 0.254
Pd5 Pd 0.500 0.500 0.500
```

Peak list (8 most intense, 2θ from 10° to 80°, in order of rising 2θ)
(hkl)	d (Å)	2θ (°)	I (rel.)
1 1 4	2.420	37.2	100
2 0 0	2.102	43.0	33
0 0 8	2.083	43.4	16
2 2 0	1.486	62.5	11
2 0 8	1.479	62.8	20
3 1 4	1.266	75.0	25
1 1 12	1.258	75.6	11
2 2 8	1.210	79.2	10